Entry 1:
Calculated PXRD pattern
Compound: BaGeTe4Pb2
Radiation: Cu Kα (λ = 1.5418 Å)
Structure: a structure optimized by DFT (GGA-PBE)
No peak broadening, texture or thermal motion is included.

Crystal structure
```
data_BaGeTe4Pb2
_chemical_formula_sum 'Ba4 Ge4 Te16 Pb8'
_space_group_name_H-M_alt 'I m m a'
_space_group_IT_number 74
_space_group_name_Hall '-I 2b 2'
_cell_length_a 9.3180
_cell_length_b 9.3237
_cell_length_c 13.1757
_cell_angle_alpha 90.00
_cell_angle_beta 90.00
_cell_angle_gamma 90.00
loop_
_atom_site_label
_atom_site_type_symbol
_atom_site_fract_x
_atom_site_fract_y
_atom_site_fract_z
Ba1 Ba 0.0000 0.0000 0.0000
Ge1 Ge 0.2500 0.2500 0.2500
Te1 Te 0.0000 0.0176 0.2568
Te2 Te 0.2373 0.2500 0.4904
Pb1 Pb 0.0000 0.0000 0.5000
Pb2 Pb 0.2500 0.2500 0.7500
```

The 6 most intense peaks (10 to 90 degrees two-theta), sorted by position:
| index | two_theta | I_rel |
| --- | --- | --- |
| 2 2 0 | 27.06 | 100.0 |
| 4 0 0 | 38.65 | 76.7 |
| 4 0 4 | 47.81 | 27.4 |
| 6 2 0 | 63.09 | 34.7 |
| 6 2 4 | 69.94 | 25.2 |
| 8 0 4 | 89.16 | 16.6 |

---

Entry 2:
Calculated PXRD pattern
Compound: BaGePd
Radiation: Cu Kα (λ = 1.5418 Å)
Structure: a structure optimized by DFT (GGA-PBE)
No peak broadening, texture or thermal motion is included.

Crystal structure
```
data_BaGePd
_chemical_formula_sum 'Ba4 Ge4 Pd4'
_space_group_name_H-M_alt 'C m c m'
_space_group_IT_number 63
_space_group_name_Hall '-C 2c 2'
_cell_length_a 4.3883
_cell_length_b 7.5185
_cell_length_c 9.9515
_cell_angle_alpha 90.00
_cell_angle_beta 90.00
_cell_angle_gamma 90.00
loop_
_atom_site_label
_atom_site_type_symbol
_atom_site_fract_x
_atom_site_fract_y
_atom_site_fract_z
Ba1 Ba 0.0000 0.0000 0.0000
Ge1 Ge 0.0000 0.3337 0.2500
Pd1 Pd 0.0000 0.3320 0.7500
```

The 6 most intense peaks (10 to 90 degrees two-theta), sorted by position:
| index | two_theta | I_rel |
| --- | --- | --- |
| 1 1 2 | 29.63 | 100.0 |
| 0 2 2 | 29.79 | 50.2 |
| 0 0 4 | 36.10 | 29.9 |
| 1 3 0 | 41.49 | 39.7 |
| 2 2 2 | 51.61 | 21.2 |
| 1 3 4 | 56.15 | 32.4 |